This entry pairs a crystal structure of Bi2O3 with its computed XRD peak list. Radiation: Cu Kα (λ = 1.5418 Å). Structure: a DFT-relaxed cell (GGA-PBE, Alexandria).
No peak broadening, texture or thermal motion is included.

Structure:
abc: 8.1807 9.8854 8.6114
angles: 90.00 90.00 90.00
Space group Fdd2 (No. 43)
One atom of each set of equivalent atoms:
Bi 0.0220 0.2821 0.0000
O 0.0000 0.0000 0.3648
O 0.0399 0.3566 0.2506

Principal peaks in the range 10 to 80 degrees two-theta, sorted by position:
two_theta	I_rel	(hkl)
17.44	24	1 1 1
27.47	100	0 2 2
28.32	83	2 2 0
30.14	75	2 0 2
31.05	25	1 3 1
41.97	22	0 0 4
44.34	30	4 0 0
47.92	29	2 4 2
48.54	21	1 5 1
51.40	39	2 2 4
52.91	25	4 2 2
58.64	15	4 4 0